For Li2Ge2S3, the PBE geometry in Alexandria gives the simulated powder XRD pattern in this record (a wavelength of 1.5418 Å).

Most intense lines, 2θ = 15–90°, by angle:
(1 0 0), 5.441 Å, 16.29°, rel. 100; (0 1 1), 4.671 Å, 19.00°, rel. 28; (0 2 1), 3.311 Å, 26.93°, rel. 90; (1 2 -1), 3.259 Å, 27.36°, rel. 43; (2 1 -1), 2.897 Å, 30.87°, rel. 45; (0 1 2), 2.693 Å, 33.27°, rel. 52; (2 1 0), 2.580 Å, 34.78°, rel. 37; (0 3 1), 2.448 Å, 36.72°, rel. 25; (1 3 1), 2.078 Å, 43.55°, rel. 29; (0 4 0), 2.033 Å, 44.56°, rel. 24

Cell and atoms:
Cell: 6.200 8.128 6.506 Å, 90.00 118.66 90.00°
Space group P2_1/c (No. 14)
One atom of each set of equivalent atoms:
Li 0.110 0.120 0.410 x4
Ge 0.398 0.639 0.628 x4
S 0.200 0.092 0.839 x4
S 0.500 0.000 0.500 x2

***

For RbUSnCl6, the PBE geometry in Alexandria gives the simulated powder XRD pattern in this record (a wavelength of 1.5418 Å).

Most intense lines, 2θ = 15–90°, by angle:
(0 2 2), 4.368 Å, 20.33°, rel. 43; (1 2 1), 4.304 Å, 20.64°, rel. 100; (1 0 3), 4.174 Å, 21.29°, rel. 49; (2 0 2), 3.520 Å, 25.30°, rel. 65; (1 0 5), 2.754 Å, 32.52°, rel. 24; (0 4 0), 2.720 Å, 32.94°, rel. 37; (2 2 4), 2.423 Å, 37.11°, rel. 80; (1 4 3), 2.278 Å, 39.55°, rel. 20; (2 4 2), 2.153 Å, 41.97°, rel. 38; (1 4 5), 1.935 Å, 46.96°, rel. 19

Cell and atoms:
Cell: 8.027 10.878 14.658 Å, 90.00 90.00 90.00°
Space group Imma (No. 74)
One atom of each set of equivalent atoms:
Rb 0.000 0.250 0.106 x4
U 0.000 0.000 0.500 x4
Sn 0.250 0.250 0.750 x4
Cl 0.000 0.250 0.509 x4
Cl 0.000 0.250 0.884 x4
Cl 0.228 0.012 0.370 x16